Structure and simulated PXRD pattern of Cr3N2 (DFT lattice parameters and positions (GGA-PBE); copper Kα).
Neutral-atom scattering factors, no anomalous dispersion.

Crystal structure
Cell: 2.8654 2.8654 11.5354 Å, 90.00 90.00 90.00°
Space group I4/mmm (No. 139)
Asymmetric unit:
Cr: 0.0000 0.0000 0.0000 x2
Cr: 0.0000 0.0000 0.3468 x4
N: 0.0000 0.0000 0.1683 x4

The 10 most intense peaks (5° ≤ 2θ ≤ 70°), in order of falling intensity:
index	d_spacing	Rel. int.
1 0 3	2.298	100
1 1 0	2.026	66
1 1 6	1.395	28
0 0 6	1.923	24
2 0 0	1.433	18
1 0 5	1.797	8
0 0 4	2.884	5
1 1 4	1.658	3
1 0 7	1.429	1
0 0 8	1.442	1


Structure and simulated PXRD pattern of Cr3N2 (DFT lattice parameters and positions (GGA-PBE); copper Kα).
Neutral-atom scattering factors, no anomalous dispersion.

Crystal structure
Cell: 5.1976 5.1976 2.8582 Å, 90.00 90.00 120.00°
Space group P321 (No. 150)
Asymmetric unit:
Cr: 0.0000 0.6878 0.0000 x3
N: 0.3333 0.6667 0.0757 x2

The 10 most intense peaks (5° ≤ 2θ ≤ 70°), in order of falling intensity:
index	d_spacing	Rel. int.
1 1 0	2.599	100
1 1 1	1.923	78
0 0 1	2.858	71
3 0 0	1.500	22
0 0 2	1.429	6
2 1 1	1.462	4
2 0 0	2.251	4
2 1 0	1.701	3
0 2 1	1.768	3
0 1 1	2.413	1


Structure and simulated PXRD pattern of Cr3N2 (DFT lattice parameters and positions (GGA-PBE); copper Kα).
Neutral-atom scattering factors, no anomalous dispersion.

Crystal structure
Cell: 13.4597 2.7270 7.5700 Å, 90.00 102.08 90.00°
Space group C2/m (No. 12)
Asymmetric unit:
Cr: 0.0000 0.0000 0.0000 x2
Cr: 0.0429 0.0000 0.6590 x4
Cr: 0.1274 0.5000 0.2630 x4
Cr: 0.1684 0.5000 0.9501 x4
Cr: 0.1986 0.5000 0.6094 x4
N: 0.0250 0.5000 0.8274 x4
N: 0.1147 0.0000 0.4630 x4
N: 0.2094 0.0000 0.1519 x4

The 10 most intense peaks (5° ≤ 2θ ≤ 70°), in order of falling intensity:
index	d_spacing	Rel. int.
3 1 0	2.316	100
1 1 -3	1.852	47
6 0 1	1.993	42
6 0 -2	2.088	37
3 1 -3	1.790	33
3 1 1	2.144	29
2 0 3	2.166	28
0 0 3	2.468	26
4 0 -3	2.209	20
3 1 3	1.603	19


Structure and simulated PXRD pattern of Cr3N4 (DFT lattice parameters and positions (GGA-PBE); copper Kα).
Neutral-atom scattering factors, no anomalous dispersion.

Crystal structure
Cell: 9.9484 5.8924 4.8121 Å, 90.00 90.00 90.00°
Space group Pnma (No. 62)
Asymmetric unit:
Cr: 0.0000 0.0000 0.0000 x4
Cr: 0.0912 0.2500 0.4145 x4
Cr: 0.2382 0.7500 0.4896 x4
N: 0.0709 0.7500 0.7443 x4
N: 0.0853 0.2500 0.7793 x4
N: 0.1672 0.0142 0.2504 x8

The 10 most intense peaks (5° ≤ 2θ ≤ 70°), in order of falling intensity:
index	d_spacing	Rel. int.
3 1 1	2.477	100
1 2 1	2.436	95
2 2 2	1.745	50
3 0 1	2.731	39
2 1 0	3.801	37
6 2 0	1.445	36
1 1 1	3.490	26
3 3 1	1.595	25
4 0 2	1.729	19
0 4 0	1.473	19


Structure and simulated PXRD pattern of CrN (DFT lattice parameters and positions (GGA-PBE); copper Kα).
Neutral-atom scattering factors, no anomalous dispersion.

Crystal structure
Cell: 4.4001 4.4001 4.4001 Å, 90.00 90.00 90.00°
Space group F-43m (No. 216)
Asymmetric unit:
Cr: 0.0000 0.0000 0.0000 x4
N: 0.2500 0.2500 0.2500 x4

The 3 most intense peaks (5° ≤ 2θ ≤ 70°), in order of falling intensity:
index	d_spacing	Rel. int.
1 1 1	2.540	100
2 2 0	1.556	39
2 0 0	2.200	26


Structure and simulated PXRD pattern of Cr3N4 (DFT lattice parameters and positions (GGA-PBE); copper Kα).
Neutral-atom scattering factors, no anomalous dispersion.

Crystal structure
Cell: 13.5409 13.5409 9.4060 Å, 90.00 90.00 120.00°
Space group P6_3/m (No. 176)
Asymmetric unit:
Cr: 0.0187 0.8134 0.0851 x12
Cr: 0.0218 0.7971 0.7500 x6
N: 0.9999 0.3277 0.2500 x6
N: 0.0939 0.8728 0.2500 x6
N: 0.0978 0.8678 0.5810 x12

The 10 most intense peaks (5° ≤ 2θ ≤ 70°), in order of falling intensity:
index	d_spacing	Rel. int.
1 0 0	11.727	100
1 2 0	4.432	14
4 1 0	2.559	13
2 0 0	5.863	4
1 1 3	2.845	3
5 0 0	2.345	3
1 2 6	1.478	2
2 2 3	2.300	2
2 2 0	3.385	2
3 1 3	2.257	2


Structure and simulated PXRD pattern of Cr3N2 (DFT lattice parameters and positions (GGA-PBE); copper Kα).
Neutral-atom scattering factors, no anomalous dispersion.

Crystal structure
Cell: 3.0635 3.0635 12.2878 Å, 90.00 90.00 120.00°
Space group P6_3/mmc (No. 194)
Asymmetric unit:
Cr: 0.0000 0.0000 0.2500 x2
Cr: 0.3333 0.6667 0.0772 x4
N: 0.0000 0.0000 0.0000 x2
N: 0.3333 0.6667 0.7500 x2

The 10 most intense peaks (5° ≤ 2θ ≤ 70°), in order of falling intensity:
index	d_spacing	Rel. int.
1 0 3	2.227	100
1 0 2	2.436	51
1 1 0	1.532	42
1 0 4	2.008	42
0 0 6	2.048	30
1 0 1	2.593	15
1 0 5	1.803	12
0 0 4	3.072	8
1 1 4	1.371	2
0 0 2	6.144	1


Structure and simulated PXRD pattern of CrN (DFT lattice parameters and positions (GGA-PBE); copper Kα).
Neutral-atom scattering factors, no anomalous dispersion.

Crystal structure
Cell: 3.0091 3.0091 6.8404 Å, 90.00 90.00 120.00°
Space group R-3m (No. 166, hexagonal axes)
Asymmetric unit:
Cr: 0.0000 0.0000 0.0000 x3
N: 0.0000 0.0000 0.5000 x3

The 5 most intense peaks (5° ≤ 2θ ≤ 70°), in order of falling intensity:
index	d_spacing	Rel. int.
0 1 2	2.073	100
1 0 1	2.435	62
1 1 0	1.505	30
1 0 4	1.430	25
0 0 3	2.280	17


Structure and simulated PXRD pattern of Cr3N4 (DFT lattice parameters and positions (GGA-PBE); copper Kα).
Neutral-atom scattering factors, no anomalous dispersion.

Crystal structure
Cell: 8.0743 8.0743 3.1187 Å, 90.00 90.00 120.00°
Space group P6_3/m (No. 176)
Asymmetric unit:
Cr: 0.1817 0.7777 0.2500 x6
N: 0.0377 0.7063 0.7500 x6
N: 0.3333 0.6667 0.2500 x2

The 10 most intense peaks (5° ≤ 2θ ≤ 70°), in order of falling intensity:
index	d_spacing	Rel. int.
2 1 0	2.643	100
1 0 1	2.848	95
2 0 0	3.496	88
2 0 1	2.327	65
3 0 1	1.867	52
2 3 1	1.427	50
1 1 0	4.037	28
1 0 0	6.993	21
4 1 1	1.371	18
2 3 0	1.604	16


Structure and simulated PXRD pattern of CrN (DFT lattice parameters and positions (GGA-PBE); copper Kα).
Neutral-atom scattering factors, no anomalous dispersion.

Crystal structure
Cell: 2.9402 2.9402 4.1257 Å, 90.00 90.00 90.00°
Space group I4/mmm (No. 139)
Asymmetric unit:
Cr: 0.0000 0.0000 0.0000 x2
N: 0.0000 0.0000 0.5000 x2

The 5 most intense peaks (5° ≤ 2θ ≤ 70°), in order of falling intensity:
index	d_spacing	Rel. int.
1 0 1	2.394	100
1 1 0	2.079	85
1 1 2	1.464	46
0 0 2	2.063	41
2 0 0	1.470	23


Structure and simulated PXRD pattern of Cr3N4 (DFT lattice parameters and positions (GGA-PBE); copper Kα).
Neutral-atom scattering factors, no anomalous dispersion.

Crystal structure
Cell: 8.1811 8.1811 8.1811 Å, 90.00 90.00 90.00°
Space group Fd-3m (No. 227, origin choice 2)
Asymmetric unit:
Cr: 0.0000 0.0000 0.0000 x16
Cr: 0.1250 0.1250 0.6250 x8
N: 0.0037 0.0037 0.2463 x32

The 10 most intense peaks (5° ≤ 2θ ≤ 70°), in order of falling intensity:
index	d_spacing	Rel. int.
3 1 1	2.467	100
4 4 0	1.446	40
5 1 1	1.574	30
2 2 0	2.892	28
4 0 0	2.045	18
2 2 2	2.362	11
4 2 2	1.670	9
1 1 1	4.723	7
5 3 1	1.383	1
3 3 1	1.877	1


Structure and simulated PXRD pattern of Cr3N4 (DFT lattice parameters and positions (GGA-PBE); copper Kα).
Neutral-atom scattering factors, no anomalous dispersion.

Crystal structure
Cell: 7.6374 7.6374 2.7529 Å, 90.00 90.00 120.00°
Space group P6_3/m (No. 176)
Asymmetric unit:
Cr: 0.1310 0.4767 0.2500 x6
N: 0.0490 0.6879 0.2500 x6
N: 0.3333 0.6667 0.7500 x2

The 10 most intense peaks (5° ≤ 2θ ≤ 70°), in order of falling intensity:
index	d_spacing	Rel. int.
1 0 0	6.614	100
2 1 1	1.851	38
1 2 0	2.500	36
1 0 1	2.542	28
2 2 1	1.569	21
3 1 0	1.834	13
1 4 0	1.443	6
2 2 0	1.909	6
2 0 1	2.116	5
1 1 1	2.233	5